[1]
Structure and calculated powder diffraction line list of Pr2Zn3Au6 (a crystal structure in Alexandria, relaxed with PBE; Cu Kα, 1.54184 Å).

Cell and atoms:
```
data_Pr2Zn3Au6
_symmetry_space_group_name_H-M 'C m m m'
_symmetry_Int_Tables_number 65
_symmetry_space_group_name_Hall '-C 2 2'
_cell_length_a 9.539
_cell_length_b 12.511
_cell_length_c 3.989
_cell_angle_alpha 90.00
_cell_angle_beta 90.00
_cell_angle_gamma 90.00
loop_
_atom_site_label
_atom_site_fract_x
_atom_site_fract_y
_atom_site_fract_z
_atom_site_occupancy
Pr1 0.000 0.173 0.000 1
Zn1 0.000 0.500 0.500 1
Zn2 0.178 0.500 0.000 1
Au1 0.141 0.000 0.500 1
Au2 0.154 0.330 0.500 1
```

Most intense lines, 5 to 70 degrees two-theta, in order of falling intensity:
h k l, 2θ (°), I/Imax
1 3 1, 32.45, 100.0
3 3 0, 35.50, 74.9
3 3 1, 42.32, 57.7
0 0 1, 22.29, 45.8
3 3 2, 58.99, 35.3
0 6 0, 43.40, 33.7
0 0 2, 45.48, 30.0
4 0 1, 44.25, 29.1



[2]
Structure and calculated powder diffraction line list of Tb7Pr2Tm3 (a crystal structure in Alexandria, relaxed with PBE; Cu Kα, 1.54184 Å).

Cell and atoms:
```
data_Tb7Pr2Tm3
_symmetry_space_group_name_H-M 'P 1 2/m 1'
_symmetry_Int_Tables_number 10
_cell_length_a 6.347
_cell_length_b 3.522
_cell_length_c 17.466
_cell_angle_alpha 90.00
_cell_angle_beta 96.16
_cell_angle_gamma 90.00
loop_
_symmetry_equiv_pos_as_xyz
'x,y,z'
'-x,-y,-z'
'-x,y,-z'
'x,-y,z'
loop_
_atom_site_label
_atom_site_fract_x
_atom_site_fract_y
_atom_site_fract_z
_atom_site_occupancy
Tb1 0.000 0.000 0.000 1
Tb2 0.230 0.500 0.167 1
Tb3 0.257 0.500 0.498 1
Tb4 0.275 0.000 0.838 1
Pr1 0.059 0.500 0.673 1
Tm1 0.453 0.000 0.343 1
Tm2 0.500 0.500 0.000 1
```

Most intense lines, 5 to 70 degrees two-theta, in order of falling intensity:
h k l, 2θ (°), I/Imax
1 1 2, 31.36, 100.0
0 0 6, 30.90, 95.2
2 0 -3, 30.79, 82.8
1 1 -4, 34.86, 79.7
2 0 3, 33.78, 66.5
1 1 1, 29.76, 60.7
2 0 -9, 52.89, 37.3
3 1 -1, 50.32, 37.2



[3]
Structure and calculated powder diffraction line list of PrPuAgO6 (a crystal structure in Alexandria, relaxed with PBE; Cu Kα, 1.54184 Å).

Cell and atoms:
```
data_PrPuAgO6
_symmetry_space_group_name_H-M 'P 3 1 2'
_symmetry_Int_Tables_number 149
_cell_length_a 5.9860
_cell_length_b 5.9860
_cell_length_c 4.7652
_cell_angle_alpha 90.00
_cell_angle_beta 90.00
_cell_angle_gamma 120.00
loop_
_symmetry_equiv_pos_as_xyz
'x,y,z'
'-y,x-y,z'
'-x+y,-x,z'
'-y,-x,-z'
'-x+y,y,-z'
'x,x-y,-z'
loop_
_atom_site_label
_atom_site_fract_x
_atom_site_fract_y
_atom_site_fract_z
_atom_site_occupancy
Pr1 0.0000 0.0000 0.0000 1
Pu1 0.3333 0.6667 0.0000 1
Ag1 0.6667 0.3333 0.5000 1
O1 0.0573 0.3809 0.2228 1
```

Most intense lines, 5 to 70 degrees two-theta, in order of falling intensity:
h k l, 2θ (°), I/Imax
1 0 1, 25.39, 100.0
1 1 0, 29.85, 66.1
2 -1 2, 48.86, 47.9
3 -1 1, 50.35, 30.8
2 -1 1, 35.42, 30.6
2 0 1, 39.58, 29.8
0 0 1, 18.62, 27.5
1 0 0, 17.10, 21.2



[4]
Structure and calculated powder diffraction line list of Nd2CdCu3Ge4 (a crystal structure in Alexandria, relaxed with PBE; Cu Kα, 1.54184 Å).

Cell and atoms:
```
data_Nd2CdCu3Ge4
_symmetry_space_group_name_H-M 'P -4 m 2'
_symmetry_Int_Tables_number 115
_cell_length_a 4.272
_cell_length_b 4.272
_cell_length_c 10.451
_cell_angle_alpha 90.00
_cell_angle_beta 90.00
_cell_angle_gamma 90.00
loop_
_symmetry_equiv_pos_as_xyz
'x,y,z'
'y,-x,-z'
'-x,-y,z'
'-y,x,-z'
'-x,y,z'
'-y,-x,-z'
'x,-y,z'
'y,x,-z'
loop_
_atom_site_label
_atom_site_fract_x
_atom_site_fract_y
_atom_site_fract_z
_atom_site_occupancy
Nd1 0.000 0.500 0.240 1
Cd1 0.000 0.000 0.500 1
Cu1 0.000 0.500 0.878 1
Cu2 0.500 0.500 0.500 1
Ge1 0.000 0.000 0.000 1
Ge2 0.000 0.500 0.650 1
Ge3 0.500 0.500 0.000 1
```

Most intense lines, 5 to 70 degrees two-theta, in order of falling intensity:
h k l, 2θ (°), I/Imax
1 1 2, 34.29, 100.0
2 0 0, 42.32, 49.0
1 0 3, 33.18, 43.9
2 2 0, 61.41, 25.0
1 0 5, 48.48, 22.2
2 1 3, 54.80, 20.6
2 1 5, 66.28, 17.8
1 1 0, 29.57, 9.3



[5]
Structure and calculated powder diffraction line list of CaPr2Pa2Rh5 (a crystal structure in Alexandria, relaxed with PBE; Cu Kα, 1.54184 Å).

Cell and atoms:
```
data_CaPr2Pa2Rh5
_symmetry_space_group_name_H-M 'P 4/m b m'
_symmetry_Int_Tables_number 127
_symmetry_space_group_name_Hall '-P 4 2ab'
_cell_length_a 11.172
_cell_length_b 11.172
_cell_length_c 3.597
_cell_angle_alpha 90.00
_cell_angle_beta 90.00
_cell_angle_gamma 90.00
loop_
_atom_site_label
_atom_site_fract_x
_atom_site_fract_y
_atom_site_fract_z
_atom_site_occupancy
Ca1 0.000 0.000 0.000 1
Pr1 0.173 0.327 0.000 1
Pa1 0.136 0.636 0.000 1
Rh1 0.000 0.500 0.500 1
Rh2 0.050 0.786 0.500 1
```

Most intense lines, 5 to 70 degrees two-theta, in order of falling intensity:
h k l, 2θ (°), I/Imax
3 1 1, 35.62, 100.0
4 0 1, 40.91, 55.6
1 1 0, 11.20, 49.4
3 3 0, 34.05, 47.6
3 2 1, 38.34, 41.5
2 1 0, 17.75, 34.1
4 1 0, 33.06, 24.1
0 0 2, 50.77, 23.2



[6]
Structure and calculated powder diffraction line list of Pr2Y3Cd4 (a crystal structure in Alexandria, relaxed with PBE; Cu Kα, 1.54184 Å).

Cell and atoms:
```
data_Pr2Y3Cd4
_symmetry_space_group_name_H-M 'C m c e'
_symmetry_Int_Tables_number 64
_symmetry_space_group_name_Hall '-C 2ac 2'
_cell_length_a 6.921
_cell_length_b 18.576
_cell_length_c 8.248
_cell_angle_alpha 90.00
_cell_angle_beta 90.00
_cell_angle_gamma 90.00
loop_
_atom_site_label
_atom_site_fract_x
_atom_site_fract_y
_atom_site_fract_z
_atom_site_occupancy
Pr1 0.000 0.092 0.098 1
Y1 0.000 0.000 0.500 1
Y2 0.250 0.246 0.750 1
Cd1 0.000 0.163 0.487 1
Cd2 0.250 0.075 0.750 1
```

Most intense lines, 5 to 70 degrees two-theta, in order of falling intensity:
h k l, 2θ (°), I/Imax
2 0 2, 33.81, 100.0
1 5 1, 29.36, 70.9
0 2 3, 34.04, 62.5
2 2 1, 29.60, 54.9
2 6 4, 60.18, 48.2
0 6 2, 36.28, 47.6
1 3 2, 29.02, 40.3
1 7 1, 37.91, 30.5